No. 1
The following is a computed PXRD pattern of Hf3Zr3Co4. It was derived from a cell relaxed with GGA-PBE, using Cu Ka.

Most intense lines, 15° ≤ 2θ ≤ 90°, in order of rising 2θ:
- 2θ = 17.63°, I 16
- 2θ = 31.73°, I 36
- 2θ = 31.84°, I 18
- 2θ = 35.29°, I 23
- 2θ = 36.53°, I 100
- 2θ = 38.62°, I 65
- 2θ = 38.80°, I 75
- 2θ = 39.72°, I 61
- 2θ = 39.99°, I 58
- 2θ = 54.13°, I 28
- 2θ = 69.20°, I 23
- 2θ = 69.39°, I 22

Structural model:
Lattice parameters (Å, degrees): 3.3886 7.1530 7.1530 90.64 90.00 90.00
Fractional positions:
Hf 0.0000 0.0000 0.0000
Hf 0.5000 0.1703 0.6693
Hf 0.5000 0.6693 0.1703
Zr 0.0000 0.3332 0.3332
Zr 0.0000 0.5039 0.8373
Zr 0.0000 0.8373 0.5039
Co 0.5000 0.0370 0.2912
Co 0.5000 0.2912 0.0370
Co 0.5000 0.5395 0.5395
Co 0.5000 0.7974 0.7974


No. 2
The following is a computed PXRD pattern of LiMgTl2Sb2. It was derived from a cell relaxed with GGA-PBE, using Cu Ka.

Most intense lines, 15° ≤ 2θ ≤ 90°, in order of rising 2θ:
- 2θ = 23.90°, I 33
- 2θ = 25.83°, I 76
- 2θ = 27.38°, I 66
- 2θ = 30.54°, I 100
- 2θ = 35.48°, I 33
- 2θ = 36.65°, I 30
- 2θ = 38.00°, I 68
- 2θ = 45.39°, I 26
- 2θ = 48.59°, I 28
- 2θ = 50.41°, I 25
- 2θ = 52.83°, I 21
- 2θ = 65.71°, I 20

Structural model:
Lattice parameters (Å, degrees): 8.8303 8.8303 8.8303 136.71 64.99 134.02
Fractional positions:
Li 0.2500 0.2500 0.0000
Li 0.7500 0.7500 0.0000
Mg 0.2500 0.7500 0.5000
Mg 0.7500 0.2500 0.5000
Tl 0.1708 0.2458 0.4166
Tl 0.3292 0.7458 0.0749
Tl 0.6708 0.2542 0.9251
Tl 0.8292 0.7542 0.5834
Sb 0.1138 0.7509 0.8647
Sb 0.3862 0.2509 0.6371
Sb 0.6138 0.7491 0.3629
Sb 0.8862 0.2491 0.1353


No. 3
The following is a computed PXRD pattern of Th4Np. It was derived from a cell relaxed with GGA-PBE, using Cu Ka.

Most intense lines, 15° ≤ 2θ ≤ 90°, in order of rising 2θ:
- 2θ = 16.00°, I 23
- 2θ = 22.70°, I 20
- 2θ = 27.90°, I 67
- 2θ = 32.32°, I 100
- 2θ = 36.26°, I 13
- 2θ = 46.36°, I 75
- 2θ = 54.98°, I 32
- 2θ = 57.64°, I 27
- 2θ = 67.65°, I 13
- 2θ = 74.69°, I 13
- 2θ = 76.98°, I 35
- 2θ = 85.96°, I 27

Structural model:
Lattice parameters (Å, degrees): 5.5396 5.5396 5.5396 90.00 90.00 90.00
Fractional positions:
Th 0.0000 0.0000 0.0000
Th 0.0000 0.5000 0.5000
Th 0.5000 0.0000 0.5000
Th 0.5000 0.5000 0.0000
Np 0.5000 0.5000 0.5000


No. 4
The following is a computed PXRD pattern of SrPrB2O6. It was derived from a cell relaxed with GGA-PBE, using Cu Ka.

Most intense lines, 15° ≤ 2θ ≤ 90°, in order of rising 2θ:
- 2θ = 22.12°, I 48
- 2θ = 22.32°, I 78
- 2θ = 27.15°, I 75
- 2θ = 28.13°, I 100
- 2θ = 30.38°, I 20
- 2θ = 34.81°, I 33
- 2θ = 40.95°, I 22
- 2θ = 42.53°, I 20
- 2θ = 43.75°, I 32
- 2θ = 45.18°, I 31
- 2θ = 46.25°, I 24
- 2θ = 46.72°, I 20

Structural model:
Lattice parameters (Å, degrees): 6.5824 6.5824 6.9779 102.66 102.66 99.12
Fractional positions:
Sr 0.1680 0.8320 0.7500
Sr 0.8320 0.1680 0.2500
Pr 0.3898 0.6102 0.2500
Pr 0.6102 0.3898 0.7500
B 0.1437 0.3468 0.7339
B 0.3468 0.1437 0.2339
B 0.6532 0.8563 0.7661
B 0.8563 0.6532 0.2661
O 0.0612 0.6384 0.3466
O 0.1774 0.2259 0.1554
O 0.2259 0.1774 0.6554
O 0.2854 0.5154 0.8828
O 0.3616 0.9388 0.1534
O 0.4846 0.7146 0.6172
O 0.5154 0.2854 0.3828
O 0.6384 0.0612 0.8466
O 0.7146 0.4846 0.1172
O 0.7741 0.8226 0.3446
O 0.8226 0.7741 0.8446
O 0.9388 0.3616 0.6534


No. 5
The following is a computed PXRD pattern of LaDy2Rh2. It was derived from a cell relaxed with GGA-PBE, using Cu Ka.

Most intense lines, 15° ≤ 2θ ≤ 90°, in order of rising 2θ:
- 2θ = 30.04°, I 100
- 2θ = 30.75°, I 70
- 2θ = 32.06°, I 83
- 2θ = 35.72°, I 84
- 2θ = 36.16°, I 53
- 2θ = 43.60°, I 28
- 2θ = 45.13°, I 43
- 2θ = 46.80°, I 38
- 2θ = 55.77°, I 32
- 2θ = 56.63°, I 38
- 2θ = 67.04°, I 27
- 2θ = 75.04°, I 28

Structural model:
Lattice parameters (Å, degrees): 6.8618 6.8618 10.0025 90.00 90.00 147.13
Fractional positions:
La 0.0945 0.9055 0.7500
La 0.9055 0.0945 0.2500
Dy 0.3543 0.6457 0.5696
Dy 0.3543 0.6457 0.9304
Dy 0.6457 0.3543 0.0696
Dy 0.6457 0.3543 0.4304
Rh 0.0000 0.0000 0.0000
Rh 0.0000 0.0000 0.5000
Rh 0.2425 0.7575 0.2500
Rh 0.7575 0.2425 0.7500


No. 6
The following is a computed PXRD pattern of Te8Pd5Se2. It was derived from a cell relaxed with GGA-PBE, using Cu Ka.

Most intense lines, 15° ≤ 2θ ≤ 90°, in order of rising 2θ:
- 2θ = 17.13°, I 19
- 2θ = 30.30°, I 49
- 2θ = 31.03°, I 100
- 2θ = 42.69°, I 9
- 2θ = 43.04°, I 23
- 2θ = 43.82°, I 13
- 2θ = 44.24°, I 12
- 2θ = 44.67°, I 21
- 2θ = 44.79°, I 39
- 2θ = 54.93°, I 18
- 2θ = 56.04°, I 9
- 2θ = 59.24°, I 12

Structural model:
Lattice parameters (Å, degrees): 17.6356 17.6356 5.1808 92.02 92.02 13.21
Fractional positions:
Te 0.0000 0.0000 0.0000
Te 0.1331 0.1331 0.4848
Te 0.2042 0.2042 0.0153
Te 0.4010 0.4010 0.0329
Te 0.5300 0.5300 0.4796
Te 0.6022 0.6022 0.0057
Te 0.7364 0.7364 0.4995
Te 0.8043 0.8043 0.0403
Pd 0.0662 0.0662 0.7420
Pd 0.2713 0.2713 0.7675
Pd 0.4640 0.4640 0.7445
Pd 0.6689 0.6689 0.7507
Pd 0.8680 0.8680 0.7650
Se 0.3353 0.3353 0.5277
Se 0.9304 0.9304 0.5129